(1)
Diffraction record for LaAl2Fe2Ge. The powder diffraction line list is theoretical, not measured: it uses a structure optimized by DFT (GGA-PBE) and λ = 1.5418 Å (Cu Kα).

Crystal structure
```
6
Lattice="4.418 0.000 0.000 0.000 4.418 0.000 0.000 0.000 5.824" Properties=species:S:1:pos:R:3 pbc="T T T"
La 0.000 0.000 0.000
Al 2.209 2.209 1.492
Al 2.209 2.209 4.331
Fe 0.000 2.209 2.912
Fe 2.209 0.000 2.912
Ge 0.000 0.000 2.912
```

Largest 8 diffraction maxima, low angle first, 5 to 70 degrees two-theta:
2theta, d/Å, I_rel
20.1, 4.418, 81
28.6, 3.124, 31
30.7, 2.912, 45
32.5, 2.753, 63
37.0, 2.431, 100
40.9, 2.209, 78
52.0, 1.760, 39
56.3, 1.635, 58

***

(2)
Diffraction record for ThAl2Fe2Ge. The powder diffraction line list is theoretical, not measured: it uses a structure optimized by DFT (GGA-PBE) and λ = 1.5418 Å (Cu Kα).

Crystal structure
```
6
Lattice="4.392 0.000 0.000 0.000 4.392 0.000 0.000 0.000 5.712" Properties=species:S:1:pos:R:3 pbc="T T T"
Th 0.000 0.000 0.000
Al 2.196 2.196 1.417
Al 2.196 2.196 4.295
Fe 0.000 2.196 2.856
Fe 2.196 0.000 2.856
Ge 0.000 0.000 2.856
```

Largest 8 diffraction maxima, low angle first, 5 to 70 degrees two-theta:
2theta, d/Å, I_rel
20.2, 4.392, 100
25.6, 3.482, 41
28.7, 3.106, 40
31.3, 2.856, 39
32.8, 2.728, 74
37.6, 2.394, 90
41.1, 2.196, 62
56.9, 1.618, 55